The following is a simulated powder diffraction line list of LaTcTe2. It was derived from a PBE-relaxed structure, using Cu Kα, 1.54184 Å.
No peak broadening, texture or thermal motion is included.

Most intense lines, 10° ≤ 2θ ≤ 90°, sorted by position:
two_theta, intensity
19.07, 28.4
30.53, 58.2
32.34, 51.8
34.12, 100.0
34.46, 64.6
34.79, 57.1
35.88, 31.4
44.27, 40.5
57.28, 29.6
61.07, 28.3

abc: 11.2670 11.2670 5.2073
angles: 91.81 91.81 20.93
Element x y z (fractional)
La (0.0000, 0.0000, 0.0000)
La (0.2242, 0.2242, 0.0567)
Tc (0.3312, 0.3312, 0.6355)
Tc (0.8834, 0.8834, 0.5172)
Te (0.4707, 0.4707, 0.5000)
Te (0.6095, 0.6095, 0.0171)
Te (0.7420, 0.7420, 0.5469)
Te (0.8474, 0.8474, 0.0203)